Theoretical powder diffractogram of TlCu3S2 for Cu Kα X-rays, from the PBE geometry in the Materials Project.
Kinematic intensities with the Lorentz-polarization factor, no thermal factor.

The 8 most intense peaks (5 to 70 degrees two-theta), low angle first:
2theta  Rel. int.
22.68  26
25.59  35
26.37  29
31.55  64
35.21  100
40.38  60
47.29  35
52.22  43

Structure:
```
TlCu3S2
1.0
7.2645 -1.9220 0.0000
7.2645 1.9220 0.0000
-3.0869 0.0000 7.8422
Tl Cu S
2 6 4
direct
0.1401 0.1401 0.0518 Tl
0.8599 0.8599 0.9482 Tl
0.0589 0.0589 0.4030 Cu
0.3129 0.3129 0.5816 Cu
0.4104 0.4104 0.3613 Cu
0.5896 0.5896 0.6387 Cu
0.6871 0.6871 0.4184 Cu
0.9411 0.9411 0.5970 Cu
0.1865 0.1865 0.6716 S
0.4768 0.4768 0.7689 S
0.5232 0.5232 0.2311 S
0.8135 0.8135 0.3284 S
```